Record 1
Starting from a cell relaxed with GGA-PBE, the XRD peak list of Li7B8C8 was calculated for Cu Kα.
Lines closer than 0.1° are merged.

Largest 10 diffraction maxima, in order of rising 2θ, 2θ = 10–90°:
12.39 deg, rel. 2
22.52 deg, rel. 1
24.93 deg, rel. 100
37.99 deg, rel. 7
40.10 deg, rel. 3
45.97 deg, rel. 65
51.15 deg, rel. 20
68.62 deg, rel. 21
74.26 deg, rel. 9
86.59 deg, rel. 8

Atomic structure:
a = 5.470 Å, b = 5.470 Å, c = 7.143 Å
α = 90.00°, β = 90.00°, γ = 120.00°
Element x y z (fractional)
Li  0.000  0.000  0.000
Li  0.000  0.500  0.000
Li  0.000  0.500  0.500
Li  0.500  0.000  0.000
Li  0.500  0.000  0.500
Li  0.500  0.500  0.000
Li  0.500  0.500  0.500
B  0.165  0.331  0.749
B  0.165  0.835  0.749
B  0.331  0.165  0.251
B  0.333  0.667  0.245
B  0.667  0.333  0.755
B  0.669  0.835  0.749
B  0.835  0.165  0.251
B  0.835  0.669  0.251
C  0.167  0.334  0.245
C  0.167  0.833  0.245
C  0.333  0.667  0.747
C  0.334  0.167  0.755
C  0.666  0.833  0.245
C  0.667  0.333  0.253
C  0.833  0.167  0.755
C  0.833  0.666  0.755


Record 2
Starting from a cell relaxed with GGA-PBE, the XRD peak list of Li5B8C8 was calculated for Cu Kα.
Lines closer than 0.1° are merged.

Largest 10 diffraction maxima, in order of rising 2θ, 2θ = 10–90°:
24.33 deg, rel. 100
38.40 deg, rel. 7
45.33 deg, rel. 7
45.73 deg, rel. 15
46.25 deg, rel. 19
49.85 deg, rel. 15
69.20 deg, rel. 9
69.56 deg, rel. 5
74.01 deg, rel. 3
88.95 deg, rel. 5

Atomic structure:
a = 7.756 Å, b = 7.756 Å, c = 9.422 Å
α = 106.41°, β = 106.41°, γ = 20.07°
Element x y z (fractional)
Li  0.000  0.000  0.000
Li  0.247  0.247  0.140
Li  0.496  0.496  0.270
Li  0.504  0.504  0.730
Li  0.753  0.753  0.860
B  0.119  0.119  0.229
B  0.130  0.130  0.728
B  0.375  0.375  0.023
B  0.375  0.375  0.519
B  0.625  0.625  0.481
B  0.625  0.625  0.977
B  0.870  0.870  0.272
B  0.881  0.881  0.771
C  0.118  0.118  0.391
C  0.128  0.128  0.895
C  0.370  0.370  0.353
C  0.381  0.381  0.859
C  0.619  0.619  0.141
C  0.630  0.630  0.647
C  0.872  0.872  0.105
C  0.882  0.882  0.609